Entry 1:
For La2DyEr3, a PBE-relaxed structure gives the computed powder X-ray diffraction pattern in this record (Cu Kα).
Kinematic intensities with the Lorentz-polarization factor, no thermal factor.

Most intense lines, 5 to 70 degrees two-theta, by intensity:
- 2θ 35.32, I 100
- 2θ 30.39, I 99
- 2θ 30.53, I 98
- 2θ 60.32, I 50
- 2θ 50.81, I 36
- 2θ 50.71, I 24
- 2θ 60.57, I 21
- 2θ 60.46, I 14
- 2θ 63.24, I 12
- 2θ 63.55, I 12

```
La2DyEr3
1.0
6.2083 0.0000 0.0000
1.0480 6.1458 0.0000
0.0506 3.1330 10.3228
La Dy Er
4 2 6
Cartesian
1.0455 1.9251 1.2893
3.1314 5.7822 3.8750
4.1756 3.4967 6.4478
6.2615 7.3538 9.0335
1.0994 4.0134 8.1607
6.2075 5.2655 2.1621
1.0391 2.9728 4.7403
3.1307 6.8340 7.3221
3.1369 4.7315 0.4200
4.1700 4.5474 9.9027
4.1762 2.4449 3.0007
6.2679 6.3060 5.5825
```

***

Entry 2:
For Sm3BiTe3, a PBE-relaxed structure gives the computed powder X-ray diffraction pattern in this record (Cu Kα).
Kinematic intensities with the Lorentz-polarization factor, no thermal factor.

Most intense lines, 5 to 70 degrees two-theta, by intensity:
- 2θ 34.24, I 100
- 2θ 33.14, I 96
- 2θ 29.52, I 48
- 2θ 30.66, I 41
- 2θ 23.65, I 40
- 2θ 28.25, I 32
- 2θ 34.87, I 29
- 2θ 48.39, I 25
- 2θ 44.63, I 22
- 2θ 68.84, I 19

```
Sm3BiTe3
1.0
4.6818 2.7030 6.3187
-4.6818 2.7030 6.3187
0.0000 -5.4060 6.3187
Sm Bi Te
6 2 6
Cartesian
-3.5681 -0.0944 7.9681
-1.7023 -3.1372 10.9881
1.8657 -3.0428 7.9681
-1.8657 3.0429 10.9881
1.7023 3.1372 7.9681
3.5681 0.0944 10.9881
0.0000 0.0000 3.0429
0.0000 0.0000 15.9132
-1.1940 -2.2235 7.7610
-2.5226 -0.0777 11.1952
-1.3286 2.1458 7.7610
1.3286 -2.1458 11.1952
2.5226 0.0777 7.7610
1.1940 2.2235 11.1952
```

***

Entry 3:
For SnPdRh2S2, a PBE-relaxed structure gives the computed powder X-ray diffraction pattern in this record (Cu Kα).
Kinematic intensities with the Lorentz-polarization factor, no thermal factor.

Most intense lines, 5 to 70 degrees two-theta, by intensity:
- 2θ 32.97, I 100
- 2θ 37.64, I 36
- 2θ 55.66, I 33
- 2θ 36.24, I 23
- 2θ 30.84, I 20
- 2θ 7.62, I 17
- 2θ 48.53, I 16
- 2θ 42.62, I 14
- 2θ 65.00, I 14
- 2θ 66.23, I 13

```
SnPdRh2S2
1.0
1.6512 0.9533 11.5965
-1.6512 0.9533 11.5965
0.0000 -1.9067 11.5965
Sn Pd Rh S
1 1 2 2
Cartesian
0.0000 0.0000 0.0000
0.0000 0.0000 17.3948
0.0000 0.0000 9.3181
0.0000 0.0000 25.4715
0.0000 0.0000 15.1036
0.0000 0.0000 19.6860
```